No. 1
Diffraction record for FeH. The powder XRD pattern is theoretical, not measured: it uses a structure optimized by DFT (GGA-PBE) and λ = 1.5418 Å (Cu Kα).
Intensities are scaled so that the largest is 100.

Atomic structure:
```
data_FeH
_chemical_formula_sum 'Fe2 H2'
_space_group_name_H-M_alt 'C 1 2 1'
_space_group_IT_number 5
_cell_length_a 3.8305
_cell_length_b 3.9191
_cell_length_c 2.7209
_cell_angle_alpha 90.00
_cell_angle_beta 134.25
_cell_angle_gamma 90.00
loop_
_space_group_symop_operation_xyz
'x,y,z'
'-x,y,-z'
'x+1/2,y+1/2,z'
'-x+1/2,y+1/2,-z'
loop_
_atom_site_label
_atom_site_fract_x
_atom_site_fract_y
_atom_site_fract_z
Fe1 0.0000 0.0000 0.0000
H1 0.0000 0.7475 0.5000
```

Largest 8 diffraction maxima, sorted by position, 2θ from 5° to 70°:
hkl 1 1 0, 2θ = 40.1°, d 2.248, rel. 100; hkl 1 1 -1, 2θ = 40.4°, d 2.235, rel. 98; hkl 0 2 0, 2θ = 46.3°, d 1.960, rel. 31; hkl 0 0 1, 2θ = 46.6°, d 1.949, rel. 30; hkl 2 0 -1, 2θ = 47.5°, d 1.915, rel. 29; hkl 0 2 1, 2θ = 67.8°, d 1.382, rel. 19; hkl 2 0 0, 2θ = 68.4°, d 1.372, rel. 9; hkl 2 2 -1, 2θ = 68.5°, d 1.370, rel. 18



No. 2
Diffraction record for PaBiO. The powder XRD pattern is theoretical, not measured: it uses a structure optimized by DFT (GGA-PBE) and λ = 1.5418 Å (Cu Kα).
Intensities are scaled so that the largest is 100.

Atomic structure:
```
data_PaBiO
_chemical_formula_sum 'Pa4 Bi4 O4'
_space_group_name_H-M_alt 'P 21 3'
_space_group_IT_number 198
_space_group_name_Hall 'P 2ac 2ab 3'
_cell_length_a 6.3820
_cell_length_b 6.3820
_cell_length_c 6.3820
_cell_angle_alpha 90.00
_cell_angle_beta 90.00
_cell_angle_gamma 90.00
loop_
_atom_site_label
_atom_site_fract_x
_atom_site_fract_y
_atom_site_fract_z
Pa1 0.0959 0.4041 0.5959
Bi1 0.1237 0.8763 0.3763
O1 0.1504 0.6504 0.8496
```

Largest 8 diffraction maxima, sorted by position, 2θ from 5° to 70°:
hkl 1 1 1, 2θ = 24.2°, d 3.685, rel. 17; hkl 2 0 1, 2θ = 31.3°, d 2.854, rel. 100; hkl 2 1 1, 2θ = 34.4°, d 2.605, rel. 72; hkl 3 1 1, 2θ = 47.2°, d 1.924, rel. 15; hkl 3 2 1, 2θ = 53.7°, d 1.706, rel. 46; hkl 4 0 0, 2θ = 57.8°, d 1.596, rel. 14; hkl 3 3 1, 2θ = 63.5°, d 1.464, rel. 12; hkl 4 1 2, 2θ = 67.2°, d 1.393, rel. 19



No. 3
Diffraction record for Tl2CdNiPb. The powder XRD pattern is theoretical, not measured: it uses a structure optimized by DFT (GGA-PBE) and λ = 1.5418 Å (Cu Kα).
Intensities are scaled so that the largest is 100.

Atomic structure:
```
data_Tl2CdNiPb
_chemical_formula_sum 'Tl2 Cd1 Ni1 Pb1'
_space_group_name_H-M_alt 'P 4/m m m'
_space_group_IT_number 123
_space_group_name_Hall '-P 4 2'
_cell_length_a 5.1148
_cell_length_b 5.1148
_cell_length_c 5.2939
_cell_angle_alpha 90.00
_cell_angle_beta 90.00
_cell_angle_gamma 90.00
loop_
_atom_site_label
_atom_site_fract_x
_atom_site_fract_y
_atom_site_fract_z
Tl1 0.0000 0.5000 0.0000
Cd1 0.0000 0.0000 0.5000
Ni1 0.5000 0.5000 0.0000
Pb1 0.5000 0.5000 0.5000
```

Largest 8 diffraction maxima, sorted by position, 2θ from 5° to 70°:
hkl 1 1 1, 2θ = 29.9°, d 2.986, rel. 100; hkl 0 0 2, 2θ = 33.9°, d 2.647, rel. 26; hkl 2 0 0, 2θ = 35.1°, d 2.557, rel. 48; hkl 2 0 2, 2θ = 49.6°, d 1.839, rel. 36; hkl 2 2 0, 2θ = 50.5°, d 1.808, rel. 17; hkl 1 1 3, 2θ = 58.2°, d 1.586, rel. 16; hkl 3 1 1, 2θ = 59.8°, d 1.547, rel. 29; hkl 2 2 2, 2θ = 62.2°, d 1.493, rel. 18